1.
For Tb10B2Br15, a structure optimized by DFT (GGA-PBE) gives the theoretical powder diffractogram in this record (λ = 1.5418 Å (Cu Kα)).

Crystal structure
Cell: 9.087 9.870 10.720 Å, 91.18 114.53 110.81°
Space group P-1 (No. 2)
Unique sites:
Tb  0.025  0.205  0.095 (multiplicity 2)
Tb  0.085  0.541  0.323 (multiplicity 2)
Tb  0.174  0.247  0.822 (multiplicity 2)
Tb  0.221  0.574  0.048 (multiplicity 2)
Tb  0.299  0.908  0.275 (multiplicity 2)
B  0.033  0.680  0.123 (multiplicity 2)
Br  0.092  0.037  0.340 (multiplicity 2)
Br  0.138  0.383  0.584 (multiplicity 2)
Br  0.210  0.738  0.820 (multiplicity 2)
Br  0.269  0.090  0.057 (multiplicity 2)
Br  0.336  0.442  0.297 (multiplicity 2)
Br  0.385  0.799  0.528 (multiplicity 2)
Br  0.444  0.157  0.774 (multiplicity 2)
Br  0.500  0.500  0.000 (multiplicity 1)

Most intense lines, 2θ = 10–80°, low angle first:
2θ/deg, I (rel.), hkl
11.1, 15.5, 1 0 -1
11.7, 19.0, 1 0 0
20.0, 8.6, 1 1 -2
29.6, 13.2, 2 -3 0
31.0, 49.0, 0 2 -3
31.3, 100.0, 1 2 1
44.4, 16.8, 4 0 -1
44.6, 47.7, 1 0 4
44.7, 16.6, 3 0 -5
45.4, 16.3, -2 4 3
55.1, 15.3, 4 -2 2
56.0, 15.3, -2 2 6

=====

2.
For Ho4Al5Si2, a structure optimized by DFT (GGA-PBE) gives the theoretical powder diffractogram in this record (λ = 1.5418 Å (Cu Kα)).

Crystal structure
Cell: 6.826 4.299 8.013 Å, 90.00 93.51 90.00°
Space group P2/m (No. 10)
Unique sites:
Ho  0.212  0.000  0.364 (multiplicity 2)
Ho  0.239  0.000  0.908 (multiplicity 2)
Al  0.139  0.500  0.629 (multiplicity 2)
Al  0.453  0.500  0.163 (multiplicity 2)
Al  0.500  0.500  0.500 (multiplicity 1)
Si  0.082  0.500  0.132 (multiplicity 2)

Most intense lines, 2θ = 10–80°, low angle first:
2θ/deg, I (rel.), hkl
20.7, 65.1, 0 1 0
25.1, 58.6, 1 0 -2
26.2, 49.1, 2 0 0
26.5, 47.0, 1 0 2
32.7, 97.7, 1 1 -2
33.6, 100.0, 2 1 0
33.9, 93.7, 1 1 2
39.7, 24.9, 3 0 0
42.0, 37.3, 0 2 0
44.7, 18.5, 3 0 -2
49.6, 30.9, 1 2 -2
50.4, 28.0, 1 2 2

=====

3.
For Pm2Ga3Ir, a structure optimized by DFT (GGA-PBE) gives the theoretical powder diffractogram in this record (λ = 1.5418 Å (Cu Kα)).

Crystal structure
Cell: 7.475 9.003 15.352 Å, 90.00 90.00 90.00°
Space group Fmmm (No. 69)
Unique sites:
Pm  0.240  0.000  0.000 (multiplicity 8)
Pm  0.250  0.250  0.250 (multiplicity 8)
Ga  0.000  0.000  0.329 (multiplicity 8)
Ga  0.000  0.248  0.084 (multiplicity 16)
Ir  0.000  0.000  0.162 (multiplicity 8)

Most intense lines, 2θ = 10–80°, low angle first:
2θ/deg, I (rel.), hkl
16.5, 12.4, 1 1 1
23.3, 12.8, 1 1 3
33.3, 100.0, 2 2 2
33.5, 53.6, 2 0 4
40.1, 31.0, 0 4 0
40.6, 59.2, 0 2 6
48.7, 17.8, 4 0 0
53.2, 30.9, 2 4 4
64.8, 14.6, 4 4 0
65.2, 28.5, 4 2 6
68.5, 12.2, 2 6 2
69.4, 13.7, 2 2 10